Record 1
# Cd5B3ClO9
Calculated XRD peak list, λ = 1.5418 Å (Cu Kα). Input: a PBE-relaxed structure.

```
data_Cd5B3ClO9
_chemical_formula_sum 'Cd10 B6 Cl2 O18'
_symmetry_space_group_name_H-M 'C 1 m 1'
_symmetry_Int_Tables_number 8
_cell_length_a 8.2274
_cell_length_b 16.0550
_cell_length_c 3.4849
_cell_angle_alpha 90.00
_cell_angle_beta 99.06
_cell_angle_gamma 90.00
loop_
_symmetry_equiv_pos_as_xyz
'x,y,z'
'x,-y,z'
'x+1/2,y+1/2,z'
'x+1/2,-y+1/2,z'
loop_
_atom_site_label
_atom_site_type_symbol
_atom_site_fract_x
_atom_site_fract_y
_atom_site_fract_z
Cd1 Cd 0.0000 0.0000 0.0000
Cd2 Cd 0.3006 0.3246 0.3977
Cd3 Cd 0.4258 0.1277 0.7432
B1 B 0.1187 0.1985 0.9762
B2 B 0.1664 0.5000 0.3365
Cl1 Cl 0.2372 0.0000 0.6004
O1 O 0.0879 0.4238 0.2909
O2 O 0.1080 0.2716 0.7636
O3 O 0.2714 0.1797 0.1861
O4 O 0.3362 0.5000 0.4360
O5 O 0.4806 0.3528 0.9638
```

Largest 6 diffraction maxima, in order of rising 2θ, 10° ≤ 2θ ≤ 90°:
| index | Position (°2θ) | I_rel |
| --- | --- | --- |
| 1 3 0 | 19.87 | 46.4 |
| 1 5 0 | 29.92 | 51.3 |
| 1 1 1 | 30.27 | 46.6 |
| 2 0 -1 | 31.33 | 100.0 |
| 1 3 1 | 34.25 | 52.3 |
| 3 3 0 | 37.21 | 35.9 |

---

Record 2
# CsCdB4
Calculated XRD peak list, λ = 1.5418 Å (Cu Kα). Input: a PBE-relaxed structure.

```
data_CsCdB4
_chemical_formula_sum 'Cs1 Cd1 B4'
_symmetry_space_group_name_H-M 'P 6/m m m'
_symmetry_Int_Tables_number 191
_symmetry_space_group_name_Hall '-P 6 2'
_cell_length_a 3.1887
_cell_length_b 3.1887
_cell_length_c 9.5102
_cell_angle_alpha 90.00
_cell_angle_beta 90.00
_cell_angle_gamma 120.00
loop_
_atom_site_label
_atom_site_type_symbol
_atom_site_fract_x
_atom_site_fract_y
_atom_site_fract_z
Cs1 Cs 0.0000 0.0000 0.0000
Cd1 Cd 0.0000 0.0000 0.5000
B1 B 0.3333 0.6667 0.2940
```

Largest 6 diffraction maxima, in order of rising 2θ, 10° ≤ 2θ ≤ 90°:
| index | Position (°2θ) | I_rel |
| --- | --- | --- |
| 0 0 2 | 18.66 | 66.0 |
| 1 0 0 | 32.42 | 59.1 |
| 1 0 2 | 37.67 | 100.0 |
| 0 0 4 | 37.84 | 16.5 |
| 1 0 4 | 50.67 | 35.7 |
| 1 1 2 | 61.33 | 17.3 |

---

Record 3
# CsCdB
Calculated XRD peak list, λ = 1.5418 Å (Cu Kα). Input: a PBE-relaxed structure.

```
data_CsCdB
_chemical_formula_sum 'Cs4 Cd4 B4'
_symmetry_space_group_name_H-M 'F -4 3 m'
_symmetry_Int_Tables_number 216
_symmetry_space_group_name_Hall 'F -4 2 3'
_cell_length_a 7.6741
_cell_length_b 7.6741
_cell_length_c 7.6741
_cell_angle_alpha 90.00
_cell_angle_beta 90.00
_cell_angle_gamma 90.00
loop_
_atom_site_label
_atom_site_type_symbol
_atom_site_fract_x
_atom_site_fract_y
_atom_site_fract_z
Cs1 Cs 0.0000 0.0000 0.0000
Cd1 Cd 0.2500 0.2500 0.7500
B1 B 0.0000 0.0000 0.5000
```

Largest 6 diffraction maxima, in order of rising 2θ, 10° ≤ 2θ ≤ 90°:
| index | Position (°2θ) | I_rel |
| --- | --- | --- |
| 1 1 1 | 20.04 | 100.0 |
| 2 2 0 | 33.01 | 99.0 |
| 3 1 1 | 38.92 | 55.0 |
| 3 3 1 | 51.94 | 23.6 |
| 4 2 2 | 58.96 | 35.6 |
| 5 1 1 | 62.93 | 17.5 |

---

Record 4
# CdB2XeF10
Calculated XRD peak list, λ = 1.5418 Å (Cu Kα). Input: a PBE-relaxed structure.

```
data_CdB2XeF10
_chemical_formula_sum 'Cd4 B8 Xe4 F40'
_symmetry_space_group_name_H-M 'P 1 21/c 1'
_symmetry_Int_Tables_number 14
_cell_length_a 10.1291
_cell_length_b 8.8302
_cell_length_c 8.3778
_cell_angle_alpha 90.00
_cell_angle_beta 110.64
_cell_angle_gamma 90.00
loop_
_symmetry_equiv_pos_as_xyz
'x,y,z'
'-x,-y,-z'
'-x,y+1/2,-z+1/2'
'x,-y+1/2,z+1/2'
loop_
_atom_site_label
_atom_site_type_symbol
_atom_site_fract_x
_atom_site_fract_y
_atom_site_fract_z
Cd1 Cd 0.1401 0.0381 0.3493
B1 B 0.0828 0.7184 0.5226
B2 B 0.2203 0.0954 0.8009
Xe1 Xe 0.4572 0.7155 0.8489
F1 F 0.0428 0.1557 0.0888
F2 F 0.0467 0.6643 0.1155
F3 F 0.0761 0.0833 0.7833
F4 F 0.1640 0.7162 0.9355
F5 F 0.1659 0.6080 0.6323
F6 F 0.2326 0.0881 0.6369
F7 F 0.2655 0.2425 0.8684
F8 F 0.3024 0.5132 0.4062
F9 F 0.3656 0.5346 0.9387
F10 F 0.4508 0.1086 0.2265
```

Largest 6 diffraction maxima, in order of rising 2θ, 10° ≤ 2θ ≤ 90°:
| index | Position (°2θ) | I_rel |
| --- | --- | --- |
| 0 1 1 | 15.11 | 59.7 |
| 1 2 0 | 22.21 | 80.6 |
| 2 1 -2 | 25.90 | 77.1 |
| 1 0 2 | 27.57 | 81.2 |
| 3 0 0 | 28.30 | 95.2 |
| 1 1 2 | 29.38 | 100.0 |

---

Record 5
# Sc4CdHgB2
Calculated XRD peak list, λ = 1.5418 Å (Cu Kα). Input: a PBE-relaxed structure.

```
data_Sc4CdHgB2
_chemical_formula_sum 'Sc4 Cd1 Hg1 B2'
_symmetry_space_group_name_H-M 'P -6 m 2'
_symmetry_Int_Tables_number 187
_symmetry_space_group_name_Hall 'P -6 2'
_cell_length_a 3.4757
_cell_length_b 3.4757
_cell_length_c 15.2164
_cell_angle_alpha 90.00
_cell_angle_beta 90.00
_cell_angle_gamma 120.00
loop_
_atom_site_label
_atom_site_type_symbol
_atom_site_fract_x
_atom_site_fract_y
_atom_site_fract_z
Sc1 Sc 0.0000 0.0000 0.1595
Sc2 Sc 0.3333 0.6667 0.3307
Cd1 Cd 0.0000 0.0000 0.5000
Hg1 Hg 0.3333 0.6667 0.0000
B1 B 0.6667 0.3333 0.2455
```

Largest 6 diffraction maxima, in order of rising 2θ, 10° ≤ 2θ ≤ 90°:
| index | Position (°2θ) | I_rel |
| --- | --- | --- |
| 0 0 2 | 11.63 | 45.7 |
| 1 0 0 | 29.68 | 23.9 |
| 1 0 1 | 30.27 | 30.1 |
| 1 0 3 | 34.65 | 100.0 |
| 0 0 6 | 35.39 | 19.2 |
| 1 1 0 | 52.67 | 20.3 |

---

Record 6
# KCdB3O6
Calculated XRD peak list, λ = 1.5418 Å (Cu Kα). Input: a PBE-relaxed structure.

```
data_KCdB3O6
_chemical_formula_sum 'K8 Cd8 B24 O48'
_symmetry_space_group_name_H-M 'C 1 2/c 1'
_symmetry_Int_Tables_number 15
_cell_length_a 7.1370
_cell_length_b 13.2192
_cell_length_c 12.2931
_cell_angle_alpha 90.00
_cell_angle_beta 105.87
_cell_angle_gamma 90.00
loop_
_symmetry_equiv_pos_as_xyz
'x,y,z'
'-x,-y,-z'
'-x,y,-z+1/2'
'x,-y,z+1/2'
'x+1/2,y+1/2,z'
'-x+1/2,-y+1/2,-z'
'-x+1/2,y+1/2,-z+1/2'
'x+1/2,-y+1/2,z+1/2'
loop_
_atom_site_label
_atom_site_type_symbol
_atom_site_fract_x
_atom_site_fract_y
_atom_site_fract_z
K1 K 0.0793 0.2426 0.1328
Cd1 Cd 0.0548 0.4245 0.6217
B1 B 0.1279 0.1928 0.6257
B2 B 0.1572 0.0807 0.9115
B3 B 0.1704 0.0099 0.6564
O1 O 0.0329 0.0021 0.3797
O2 O 0.0752 0.1772 0.9123
O3 O 0.1489 0.4302 0.0629
O4 O 0.2089 0.2829 0.6264
O5 O 0.2140 0.4287 0.8171
O6 O 0.2461 0.1081 0.6641
```

Largest 6 diffraction maxima, in order of rising 2θ, 10° ≤ 2θ ≤ 90°:
| index | Position (°2θ) | I_rel |
| --- | --- | --- |
| 1 1 0 | 14.54 | 91.6 |
| 0 2 1 | 15.36 | 36.0 |
| 1 3 -1 | 24.06 | 44.2 |
| 2 0 -2 | 26.22 | 100.0 |
| 0 0 4 | 30.23 | 87.3 |
| 1 3 -3 | 30.56 | 47.6 |

---

Record 7
# K7Y2CdB15O30
Calculated XRD peak list, λ = 1.5418 Å (Cu Kα). Input: a PBE-relaxed structure.

```
data_K7Y2CdB15O30
_chemical_formula_sum 'K21 Y6 Cd3 B45 O90'
_symmetry_space_group_name_H-M 'R 3 2'
_symmetry_Int_Tables_number 155
_symmetry_space_group_name_Hall 'R 3 2"'
_cell_length_a 13.1846
_cell_length_b 13.1846
_cell_length_c 14.7764
_cell_angle_alpha 90.00
_cell_angle_beta 90.00
_cell_angle_gamma 120.00
loop_
_atom_site_label
_atom_site_type_symbol
_atom_site_fract_x
_atom_site_fract_y
_atom_site_fract_z
K1 K 0.0000 0.0000 0.0000
K2 K 0.0000 0.5126 0.0000
K3 K 0.0000 0.5366 0.5000
Y1 Y 0.0000 0.0000 0.2788
Cd1 Cd 0.0000 0.0000 0.5000
B1 B 0.0000 0.2506 0.0000
B2 B 0.0822 0.5250 0.2726
B3 B 0.0971 0.2275 0.1397
O1 O 0.0034 0.1857 0.0806
O2 O 0.0120 0.5196 0.1994
O3 O 0.0348 0.4387 0.3390
O4 O 0.0511 0.9096 0.6122
O5 O 0.0516 0.8899 0.2024
```

Largest 6 diffraction maxima, in order of rising 2θ, 10° ≤ 2θ ≤ 90°:
| index | Position (°2θ) | I_rel |
| --- | --- | --- |
| 1 1 0 | 13.43 | 100.0 |
| 2 1 1 | 21.45 | 30.3 |
| 2 2 0 | 27.05 | 96.3 |
| 0 2 4 | 28.79 | 70.8 |
| 4 0 4 | 39.91 | 37.4 |
| 2 4 4 | 48.88 | 32.5 |